Diffraction record for NaW3O9. The powder diffractogram is theoretical, not measured: it uses the GGA+U geometry in the Materials Project and a wavelength of 1.5418 Å.
Intensities are scaled so that the largest is 100.

Top 9 peaks for 10° ≤ 2θ ≤ 80°, in order of rising 2θ:
two_theta	intensity	index
22.84	100	1 0 1
32.52	67	1 1 0
40.11	13	0 2 1
46.65	23	2 0 2
52.55	41	2 1 1
58.02	27	3 0 0
68.11	14	2 2 0
72.88	19	1 3 1
77.52	12	3 1 2

Structural model:
```
data_NaW3O9
_symmetry_space_group_name_H-M 'P -3 m 1'
_symmetry_Int_Tables_number 164
_symmetry_space_group_name_Hall '-P 3 2"'
_cell_length_a 5.5074
_cell_length_b 5.5074
_cell_length_c 6.7429
_cell_angle_alpha 90.00
_cell_angle_beta 90.00
_cell_angle_gamma 120.00
loop_
_atom_site_label
_atom_site_type_symbol
_atom_site_fract_x
_atom_site_fract_y
_atom_site_fract_z
Na1 Na 0.0000 0.0000 0.0000
W1 W 0.0000 0.0000 0.5000
W2 W 0.3333 0.6667 0.1706
O1 O 0.0000 0.5000 0.0000
O2 O 0.1656 0.3312 0.3314
```